# 1
Structure and theoretical powder X-ray diffraction pattern of Ba2Pr2Sn15 (a structure optimized by DFT (PBE); Cu Kα (weighted mean of Kα1 and Kα2)).
No peak broadening, texture or thermal motion is included.

Peak list (12 most intense, 15° ≤ 2θ ≤ 90°, low angle first)
27.62°, I = 92, (0 2 4); 29.24°, I = 40, (0 0 6); 29.41°, I = 37, (3 0 0); 31.32°, I = 93, (2 0 5); 32.93°, I = 100, (0 3 3); 34.09°, I = 83, (2 2 0); 37.22°, I = 88, (2 2 3); 44.25°, I = 27, (2 0 8); 54.22°, I = 32, (0 3 9); 57.01°, I = 36, (0 4 8); 59.29°, I = 27, (4 2 5); 61.01°, I = 29, (6 0 0)

a = 10.5213 Å, b = 10.5213 Å, c = 18.3269 Å
α = 90.00°, β = 90.00°, γ = 120.00°
Space group R-3m (No. 166, hexagonal axes)
Asymmetric unit:
Ba  0.0000  0.0000  0.1539
Pr  0.0000  0.0000  0.3914
Sn  0.0000  0.2878  0.5000
Sn  0.0000  0.5000  0.0000
Sn  0.0054  0.5027  0.6307

***

# 2
Structure and theoretical powder X-ray diffraction pattern of InP3Au3 (a structure optimized by DFT (PBE); Cu Kα (weighted mean of Kα1 and Kα2)).
No peak broadening, texture or thermal motion is included.

Peak list (12 most intense, 15° ≤ 2θ ≤ 90°, low angle first)
26.77°, I = 95, (1 0 2); 29.70°, I = 34, (0 1 3); 30.21°, I = 58, (0 2 1); 30.49°, I = 51, (1 1 2); 36.71°, I = 100, (1 2 1); 41.44°, I = 45, (2 0 0); 44.56°, I = 40, (1 2 3); 45.80°, I = 29, (0 2 4); 48.78°, I = 32, (1 0 5); 51.78°, I = 24, (0 3 3); 52.13°, I = 27, (2 2 1); 63.46°, I = 22, (2 2 4)

a = 4.3578 Å, b = 6.1764 Å, c = 10.3300 Å
α = 90.00°, β = 90.00°, γ = 90.00°
Space group Pmmn (No. 59, origin choice 2)
Asymmetric unit:
In  0.2500  0.2500  0.2380
P  0.2500  0.0686  0.8595
P  0.2500  0.7500  0.4237
Au  0.2500  0.5128  0.6203
Au  0.2500  0.7500  0.0624

***

# 3
Structure and theoretical powder X-ray diffraction pattern of Pu2MnTlCl8 (a structure optimized by DFT (PBE); Cu Kα (weighted mean of Kα1 and Kα2)).
No peak broadening, texture or thermal motion is included.

Peak list (12 most intense, 15° ≤ 2θ ≤ 90°, low angle first)
18.71°, I = 100, (1 0 -1); 19.75°, I = 84, (1 0 1); 24.61°, I = 58, (0 2 1); 24.83°, I = 81, (1 2 0); 26.94°, I = 27, (0 0 2); 27.94°, I = 24, (1 2 -1); 36.39°, I = 39, (1 2 -2); 36.85°, I = 47, (2 2 -1); 37.52°, I = 31, (1 2 2); 37.97°, I = 63, (2 2 1); 46.20°, I = 46, (0 2 3); 47.33°, I = 22, (3 2 0)

a = 6.4419 Å, b = 8.6381 Å, c = 6.6293 Å
α = 90.00°, β = 93.06°, γ = 90.00°
Space group P2/m (No. 10)
Asymmetric unit:
Pu  0.0000  0.2403  0.0000
Mn  0.5000  0.0000  0.5000
Tl  0.5000  0.5000  0.5000
Cl  0.2196  0.5000  0.8725
Cl  0.2304  0.0000  0.8282
Cl  0.2748  0.2029  0.3347

***

# 4
Structure and theoretical powder X-ray diffraction pattern of Sm2Dy3Ho8 (a structure optimized by DFT (PBE); Cu Kα (weighted mean of Kα1 and Kα2)).
No peak broadening, texture or thermal motion is included.

Peak list (12 most intense, 15° ≤ 2θ ≤ 90°, low angle first)
25.04°, I = 18, (2 0 0); 29.55°, I = 27, (1 1 -3); 30.74°, I = 30, (0 1 3); 32.30°, I = 38, (0 2 0); 33.55°, I = 100, (2 1 1); 35.02°, I = 13, (0 0 4); 41.30°, I = 11, (2 2 0); 48.37°, I = 11, (0 2 4); 54.19°, I = 9, (3 0 -6); 58.40°, I = 20, (2 3 1); 61.32°, I = 9, (2 2 4); 64.52°, I = 9, (3 2 -6)

a = 7.5850 Å, b = 5.5438 Å, c = 10.9270 Å
α = 90.00°, β = 110.27°, γ = 90.00°
Space group P2/m (No. 10)
Asymmetric unit:
Sm  0.2413  0.0000  0.4821
Dy  0.0000  0.0000  0.0000
Dy  0.2863  0.5000  0.9999
Ho  0.1303  0.5000  0.2606
Ho  0.1803  0.0000  0.7854
Ho  0.3367  0.5000  0.6729
Ho  0.3947  0.0000  0.2147

***

# 5
Structure and theoretical powder X-ray diffraction pattern of Ag4IBr5 (a structure optimized by DFT (PBE); Cu Kα (weighted mean of Kα1 and Kα2)).
No peak broadening, texture or thermal motion is included.

Peak list (12 most intense, 15° ≤ 2θ ≤ 90°, low angle first)
20.12°, I = 88, (0 2 1); 25.52°, I = 32, (2 0 1); 26.49°, I = 52, (0 3 1); 26.67°, I = 54, (2 1 1); 30.77°, I = 18, (0 4 0); 37.83°, I = 100, (2 2 2); 40.39°, I = 27, (2 4 1); 44.53°, I = 22, (4 0 0); 45.90°, I = 16, (2 0 3); 46.86°, I = 14, (0 6 0); 49.32°, I = 15, (4 2 1); 52.56°, I = 15, (4 3 1)

a = 8.1390 Å, b = 11.6216 Å, c = 6.7867 Å
α = 90.00°, β = 90.00°, γ = 90.00°
Space group Pmmn (No. 59, origin choice 2)
Asymmetric unit:
Ag  0.0126  0.2500  0.0078
Ag  0.2500  0.5058  0.4982
I  0.2500  0.7500  0.2477
Br  0.0028  0.0790  0.2784
Br  0.2500  0.2500  0.7487

***

# 6
Structure and theoretical powder X-ray diffraction pattern of Pu6SnGe (a structure optimized by DFT (PBE); Cu Kα (weighted mean of Kα1 and Kα2)).
No peak broadening, texture or thermal motion is included.

Peak list (12 most intense, 15° ≤ 2θ ≤ 90°, low angle first)
19.11°, I = 3, (0 0 2); 19.45°, I = 5, (1 0 0); 27.39°, I = 5, (1 0 2); 33.82°, I = 100, (1 1 2); 38.77°, I = 17, (0 0 4); 39.49°, I = 33, (2 0 0); 56.54°, I = 24, (2 0 4); 57.07°, I = 12, (2 2 0); 67.04°, I = 14, (1 1 6); 68.01°, I = 28, (3 1 2); 71.14°, I = 12, (2 2 4); 85.00°, I = 4, (4 0 0)

a = 4.5644 Å, b = 4.5644 Å, c = 9.2899 Å
α = 90.00°, β = 90.00°, γ = 90.00°
Space group P4/mmm (No. 123)
Asymmetric unit:
Pu  0.0000  0.0000  0.0000
Pu  0.0000  0.0000  0.5000
Pu  0.0000  0.5000  0.2436
Sn  0.5000  0.5000  0.5000
Ge  0.5000  0.5000  0.0000

***

Repeat the fifth record exactly.
Structure and theoretical powder X-ray diffraction pattern of Ag4IBr5 (a structure optimized by DFT (PBE); Cu Kα (weighted mean of Kα1 and Kα2)).
No peak broadening, texture or thermal motion is included.

Peak list (12 most intense, 15° ≤ 2θ ≤ 90°, low angle first)
20.12°, I = 88, (0 2 1); 25.52°, I = 32, (2 0 1); 26.49°, I = 52, (0 3 1); 26.67°, I = 54, (2 1 1); 30.77°, I = 18, (0 4 0); 37.83°, I = 100, (2 2 2); 40.39°, I = 27, (2 4 1); 44.53°, I = 22, (4 0 0); 45.90°, I = 16, (2 0 3); 46.86°, I = 14, (0 6 0); 49.32°, I = 15, (4 2 1); 52.56°, I = 15, (4 3 1)

a = 8.1390 Å, b = 11.6216 Å, c = 6.7867 Å
α = 90.00°, β = 90.00°, γ = 90.00°
Space group Pmmn (No. 59, origin choice 2)
Asymmetric unit:
Ag  0.0126  0.2500  0.0078
Ag  0.2500  0.5058  0.4982
I  0.2500  0.7500  0.2477
Br  0.0028  0.0790  0.2784
Br  0.2500  0.2500  0.7487

***

Copy entry 3 word for word.
Structure and theoretical powder X-ray diffraction pattern of Pu2MnTlCl8 (a structure optimized by DFT (PBE); Cu Kα (weighted mean of Kα1 and Kα2)).
No peak broadening, texture or thermal motion is included.

Peak list (12 most intense, 15° ≤ 2θ ≤ 90°, low angle first)
18.71°, I = 100, (1 0 -1); 19.75°, I = 84, (1 0 1); 24.61°, I = 58, (0 2 1); 24.83°, I = 81, (1 2 0); 26.94°, I = 27, (0 0 2); 27.94°, I = 24, (1 2 -1); 36.39°, I = 39, (1 2 -2); 36.85°, I = 47, (2 2 -1); 37.52°, I = 31, (1 2 2); 37.97°, I = 63, (2 2 1); 46.20°, I = 46, (0 2 3); 47.33°, I = 22, (3 2 0)

a = 6.4419 Å, b = 8.6381 Å, c = 6.6293 Å
α = 90.00°, β = 93.06°, γ = 90.00°
Space group P2/m (No. 10)
Asymmetric unit:
Pu  0.0000  0.2403  0.0000
Mn  0.5000  0.0000  0.5000
Tl  0.5000  0.5000  0.5000
Cl  0.2196  0.5000  0.8725
Cl  0.2304  0.0000  0.8282
Cl  0.2748  0.2029  0.3347